This entry pairs a crystal structure of AlCrAg2 with its calculated X-ray diffraction stick pattern. Radiation: Cu Kα (λ = 1.5418 Å). Structure: a cell relaxed with GGA-PBE.
Intensities are scaled so that the largest is 100.

Structure:
abc: 2.8766 4.6800 5.0498
angles: 90.00 94.65 90.00
Element x y z (fractional)
Al  0.0000  0.0000  0.0000
Cr  0.5000  0.0000  0.5000
Ag  0.2224  0.5000  0.7523
Ag  0.7776  0.5000  0.2477

Top 10 peaks for 5 to 70 degrees two-theta, by angle:
| 2theta | Rel. int. |
| --- | --- |
| 19.0 | 74 |
| 34.7 | 16 |
| 35.7 | 16 |
| 37.3 | 61 |
| 38.5 | 57 |
| 39.9 | 100 |
| 40.7 | 96 |
| 42.2 | 19 |
| 54.7 | 38 |
| 68.4 | 18 |


This entry pairs a crystal structure of Pr2SmBi2 with its calculated X-ray diffraction stick pattern. Radiation: Cu Kα (λ = 1.5418 Å). Structure: a cell relaxed with GGA-PBE.
Intensities are scaled so that the largest is 100.

Structure:
abc: 8.2646 8.2646 8.2646
angles: 114.48 84.09 133.52
Element x y z (fractional)
Pr  0.1505  0.1426  0.2932
Pr  0.3495  0.6426  0.9921
Pr  0.6505  0.3574  0.0079
Pr  0.8495  0.8574  0.7068
Sm  0.2500  0.7500  0.5000
Sm  0.7500  0.2500  0.5000
Bi  0.1097  0.7816  0.8913
Bi  0.3903  0.2816  0.6718
Bi  0.6097  0.7184  0.3282
Bi  0.8903  0.2184  0.1087

Top 10 peaks for 5 to 70 degrees two-theta, by angle:
| 2theta | Rel. int. |
| --- | --- |
| 22.2 | 52 |
| 23.9 | 84 |
| 27.3 | 70 |
| 30.1 | 74 |
| 30.9 | 79 |
| 34.0 | 94 |
| 35.5 | 73 |
| 36.2 | 93 |
| 40.4 | 100 |
| 46.9 | 55 |


This entry pairs a crystal structure of Zr5C7 with its calculated X-ray diffraction stick pattern. Radiation: Cu Kα (λ = 1.5418 Å). Structure: a cell relaxed with GGA-PBE.
Intensities are scaled so that the largest is 100.

Structure:
abc: 5.9116 5.9116 5.9116
angles: 104.56 104.56 119.82
Element x y z (fractional)
Zr  0.0000  0.0000  0.0000
Zr  0.2610  0.2610  0.5869
Zr  0.2610  0.6741  0.0000
Zr  0.6741  0.2610  0.0000
Zr  0.6741  0.6741  0.4131
C  0.1317  0.6317  0.5000
C  0.1581  0.4692  0.3111
C  0.1581  0.8470  0.6889
C  0.4692  0.1581  0.3111
C  0.6124  0.6124  0.0000
C  0.6317  0.1317  0.5000
C  0.8470  0.1581  0.6889

Top 10 peaks for 5 to 70 degrees two-theta, by angle:
| 2theta | Rel. int. |
| --- | --- |
| 17.3 | 25 |
| 24.6 | 46 |
| 30.2 | 72 |
| 31.5 | 75 |
| 35.1 | 91 |
| 39.3 | 52 |
| 40.4 | 100 |
| 46.9 | 62 |
| 60.6 | 23 |
| 66.5 | 27 |


This entry pairs a crystal structure of Li2Sb2Pd with its calculated X-ray diffraction stick pattern. Radiation: Cu Kα (λ = 1.5418 Å). Structure: a cell relaxed with GGA-PBE.
Intensities are scaled so that the largest is 100.

Structure:
abc: 11.8243 11.8218 4.2574
angles: 79.66 79.59 20.74
Element x y z (fractional)
Li  0.0468  0.0468  0.7032
Li  0.2968  0.2968  0.9532
Li  0.7032  0.7032  0.0468
Li  0.9532  0.9532  0.2968
Sb  0.1947  0.1947  0.5553
Sb  0.4447  0.4447  0.8053
Sb  0.5553  0.5553  0.1947
Sb  0.8053  0.8053  0.4447
Pd  0.3750  0.3750  0.3750
Pd  0.6250  0.6250  0.6250

Top 10 peaks for 5 to 70 degrees two-theta, by angle:
| 2theta | Rel. int. |
| --- | --- |
| 21.2 | 90 |
| 23.9 | 20 |
| 28.6 | 89 |
| 38.1 | 100 |
| 42.5 | 44 |
| 48.7 | 26 |
| 50.1 | 14 |
| 52.0 | 17 |
| 52.1 | 16 |
| 65.8 | 11 |


This entry pairs a crystal structure of CdO with its calculated X-ray diffraction stick pattern. Radiation: Cu Kα (λ = 1.5418 Å). Structure: a cell relaxed with GGA-PBE.
Intensities are scaled so that the largest is 100.

Structure:
abc: 3.3824 3.3824 3.3824
angles: 60.00 60.00 60.00
Element x y z (fractional)
Cd  0.0000  0.0000  0.0000
O  0.5000  0.5000  0.5000

Top 5 peaks for 5 to 70 degrees two-theta, by angle:
| 2theta | Rel. int. |
| --- | --- |
| 32.4 | 100 |
| 37.6 | 90 |
| 54.2 | 58 |
| 64.6 | 41 |
| 67.9 | 19 |


This entry pairs a crystal structure of NaLi2BP2O8 with its calculated X-ray diffraction stick pattern. Radiation: Cu Kα (λ = 1.5418 Å). Structure: a cell relaxed with GGA-PBE.
Intensities are scaled so that the largest is 100.

Structure:
abc: 5.4947 7.5055 8.1337
angles: 76.35 70.56 87.19
Element x y z (fractional)
Na  0.2479  0.3834  0.2643
Na  0.7521  0.6166  0.7357
Li  0.1425  0.0274  0.5979
Li  0.3111  0.0038  0.1410
Li  0.6889  0.9962  0.8590
Li  0.8575  0.9726  0.4021
B  0.2532  0.4572  0.7652
B  0.7468  0.5428  0.2348
P  0.1459  0.7473  0.9459
P  0.3837  0.7282  0.4509
P  0.6163  0.2718  0.5491
P  0.8541  0.2527  0.0541
O  0.0151  0.1680  0.1726
O  0.0293  0.3284  0.8525
O  0.2030  0.5702  0.6044
O  0.2046  0.8784  0.4023
O  0.2856  0.5698  0.8858
O  0.3496  0.8742  0.9484
O  0.4073  0.2125  0.4894
O  0.5000  0.3607  0.7174
O  0.5000  0.6393  0.2826
O  0.5927  0.7875  0.5107
O  0.6504  0.1258  0.0516
O  0.7144  0.4302  0.1142
O  0.7954  0.1216  0.5977
O  0.7970  0.4298  0.3956
O  0.9707  0.6716  0.1475
O  0.9849  0.8320  0.8274

Top 10 peaks for 5 to 70 degrees two-theta, by angle:
| 2theta | Rel. int. |
| --- | --- |
| 12.1 | 85 |
| 17.3 | 100 |
| 21.4 | 60 |
| 23.9 | 48 |
| 24.4 | 54 |
| 29.3 | 75 |
| 29.5 | 66 |
| 30.0 | 81 |
| 31.9 | 80 |
| 34.0 | 51 |